1.
Computed X-ray powder pattern of Si2Bi14IrI12 for a wavelength of 1.5418 Å, from a cell relaxed with PBE.
No peak broadening, texture or thermal motion is included.

Main lines, in order of rising 2θ (2θ from 15° to 90°):
hkl  2θ/deg  I/Imax
3 0 0  25.58  52
0 0 6  26.15  83
3 1 1  27.34  100
3 2 3  33.61  26
3 1 5  34.91  69
1 0 8  36.19  34
3 0 6  36.90  27
4 1 3  37.88  28
4 2 0  38.54  25
3 1 11  56.86  29

Cell and atoms:
Cell: 10.448 10.448 20.449 Å, 90.00 90.00 90.00°
Space group P4/mcc (No. 124)
Asymmetric unit:
Si: 0.000 0.000 0.094 [4 per cell]
Bi: 0.086 0.201 0.182 [16 per cell]
Bi: 0.247 0.442 0.500 [8 per cell]
Bi: 0.500 0.500 0.132 [4 per cell]
Ir: 0.500 0.500 0.000 [2 per cell]
I: 0.126 0.281 0.000 [8 per cell]
I: 0.200 0.437 0.345 [16 per cell]

2.
Computed X-ray powder pattern of PrBiI2O2 for a wavelength of 1.5418 Å, from a cell relaxed with PBE.
No peak broadening, texture or thermal motion is included.

Main lines, in order of rising 2θ (2θ from 15° to 90°):
hkl  2θ/deg  I/Imax
1 0 2  29.19  100
1 1 0  31.10  43
1 0 3  36.48  10
2 0 0  44.56  20
1 0 4  44.96  8
1 1 4  50.53  16
2 1 2  54.17  36
2 0 4  60.53  8
3 1 0  73.67  8
3 2 2  89.41  9

Cell and atoms:
Cell: 4.066 4.066 9.286 Å, 90.00 90.00 90.00°
Space group P4mm (No. 99)
Asymmetric unit:
Pr: 0.000 0.000 0.000 [1 per cell]
Bi: 0.500 0.500 0.739 [1 per cell]
I: 0.000 0.000 0.539 [1 per cell]
I: 0.500 0.500 0.200 [1 per cell]
O: 0.000 0.500 0.869 [2 per cell]

3.
Computed X-ray powder pattern of Pm2BiI2 for a wavelength of 1.5418 Å, from a cell relaxed with PBE.
No peak broadening, texture or thermal motion is included.

Main lines, in order of rising 2θ (2θ from 15° to 90°):
hkl  2θ/deg  I/Imax
0 1 5  26.36  100
0 1 8  31.06  42
1 0 10  34.90  18
1 1 0  40.19  43
1 0 13  41.37  36
2 0 5  48.71  19
0 2 13  59.05  13
1 1 18  64.13  20
1 2 5  64.93  16
2 1 13  73.85  13

Cell and atoms:
Cell: 4.4874 4.4874 34.2870 Å, 90.00 90.00 120.00°
Space group R-3m (No. 166, hexagonal axes)
Asymmetric unit:
Pm: 0.0000 0.0000 0.1144 [6 per cell]
Bi: 0.0000 0.0000 0.5000 [3 per cell]
I: 0.0000 0.0000 0.2760 [6 per cell]

4.
Computed X-ray powder pattern of TbBiI6 for a wavelength of 1.5418 Å, from a cell relaxed with PBE.
No peak broadening, texture or thermal motion is included.

Main lines, in order of rising 2θ (2θ from 15° to 90°):
hkl  2θ/deg  I/Imax
2 0 -1  23.27  24
0 0 2  24.31  37
1 3 1  28.08  100
2 0 -2  28.28  49
2 0 2  40.07  19
0 6 0  40.24  55
1 3 -3  40.30  37
0 0 4  49.77  20
2 6 -2  49.87  19
0 6 4  65.81  25

Cell and atoms:
Cell: 7.756 13.461 7.747 Å, 90.00 109.02 90.00°
Space group C2 (No. 5)
Asymmetric unit:
Tb: 0.000 0.000 0.000 [2 per cell]
Bi: 0.000 0.332 0.000 [2 per cell]
I: 0.226 0.163 0.247 [4 per cell]
I: 0.243 0.992 0.758 [4 per cell]
I: 0.249 0.843 0.242 [4 per cell]

5.
Computed X-ray powder pattern of Nb2InBiIr2 for a wavelength of 1.5418 Å, from a cell relaxed with PBE.
No peak broadening, texture or thermal motion is included.

Main lines, in order of rising 2θ (2θ from 15° to 90°):
hkl  2θ/deg  I/Imax
1 1 2  24.48  49
2 2 0  40.51  100
1 1 6  47.90  25
0 0 8  58.56  6
4 0 0  58.67  11
3 1 6  64.49  11
4 2 4  73.69  34
1 1 10  78.95  4
5 1 2  79.04  4
4 4 0  87.65  11

Cell and atoms:
Cell: 6.295 6.295 12.610 Å, 90.00 90.00 90.00°
Space group I-42d (No. 122)
Asymmetric unit:
Nb: 0.000 0.000 0.245 [8 per cell]
In: 0.000 0.000 0.000 [4 per cell]
Bi: 0.000 0.000 0.500 [4 per cell]
Ir: 0.248 0.250 0.125 [8 per cell]

6.
Computed X-ray powder pattern of Li4InBiPd2 for a wavelength of 1.5418 Å, from a cell relaxed with PBE.
No peak broadening, texture or thermal motion is included.

Main lines, in order of rising 2θ (2θ from 15° to 90°):
hkl  2θ/deg  I/Imax
1 0 0  19.52  4
1 0 1  23.97  100
0 0 2  27.74  4
2 0 0  39.64  90
2 1 1  46.85  50
2 2 0  57.30  15
3 0 1  63.00  21
3 1 2  71.92  31
3 2 1  77.05  15
4 0 0  85.39  10

Cell and atoms:
Cell: 4.547 4.547 6.434 Å, 90.00 90.00 90.00°
Space group P-4m2 (No. 115)
Asymmetric unit:
Li: 0.000 0.000 0.000 [1 per cell]
Li: 0.000 0.500 0.241 [2 per cell]
Li: 0.500 0.500 0.500 [1 per cell]
In: 0.500 0.500 0.000 [1 per cell]
Bi: 0.000 0.000 0.500 [1 per cell]
Pd: 0.000 0.500 0.758 [2 per cell]

7.
Computed X-ray powder pattern of In2NiBiS6 for a wavelength of 1.5418 Å, from a cell relaxed with PBE.
No peak broadening, texture or thermal motion is included.

Main lines, in order of rising 2θ (2θ from 15° to 90°):
hkl  2θ/deg  I/Imax
2 0 -1  15.61  42
1 0 -3  21.34  35
3 0 -1  23.70  91
1 1 0  24.76  38
0 1 2  28.05  100
2 1 -2  29.29  44
4 0 -2  31.54  38
0 1 3  33.25  64
3 1 -3  35.61  50
4 1 -4  43.12  42

Cell and atoms:
Cell: 11.363 3.843 12.517 Å, 90.00 115.08 90.00°
Space group P2_1/m (No. 11)
Asymmetric unit:
In: 0.042 0.250 0.139 [2 per cell]
In: 0.271 0.250 0.723 [2 per cell]
Ni: 0.111 0.750 0.395 [2 per cell]
Bi: 0.404 0.250 0.105 [2 per cell]
S: 0.056 0.250 0.776 [2 per cell]
S: 0.154 0.750 0.071 [2 per cell]
S: 0.161 0.750 0.582 [2 per cell]
S: 0.188 0.250 0.370 [2 per cell]
S: 0.361 0.750 0.895 [2 per cell]
S: 0.495 0.750 0.269 [2 per cell]

8.
Computed X-ray powder pattern of Zr2InNi2Bi for a wavelength of 1.5418 Å, from a cell relaxed with PBE.
No peak broadening, texture or thermal motion is included.

Main lines, in order of rising 2θ (2θ from 15° to 90°):
hkl  2θ/deg  I/Imax
1 1 2  24.65  22
2 0 0  28.54  46
2 2 0  40.80  100
3 1 2  48.29  7
2 2 4  50.55  13
4 0 0  59.15  11
4 2 0  66.95  11
2 2 8  74.18  11
4 2 4  74.33  22
4 0 8  88.34  7

Cell and atoms:
Cell: 6.248 6.248 12.539 Å, 90.00 90.00 90.00°
Space group I-42d (No. 122)
Asymmetric unit:
Zr: 0.000 0.000 0.245 [8 per cell]
In: 0.000 0.000 0.000 [4 per cell]
Ni: 0.250 0.250 0.125 [8 per cell]
Bi: 0.000 0.000 0.500 [4 per cell]

9.
Computed X-ray powder pattern of InBi5Os3 for a wavelength of 1.5418 Å, from a cell relaxed with PBE.
No peak broadening, texture or thermal motion is included.

Main lines, in order of rising 2θ (2θ from 15° to 90°):
hkl  2θ/deg  I/Imax
1 0 0  17.86  21
1 0 2  28.14  50
1 1 0  31.20  67
0 0 3  32.59  27
2 0 1  37.84  47
1 1 2  38.24  32
2 0 2  42.51  100
0 0 4  43.94  20
2 2 0  65.07  27
0 0 7  81.85  24

Cell and atoms:
Cell: 5.7341 5.7341 8.2423 Å, 90.00 90.00 120.00°
Space group P6/mmm (No. 191)
Asymmetric unit:
In: 0.0000 0.0000 0.0000 [1 per cell]
Bi: 0.0000 0.0000 0.5000 [1 per cell]
Bi: 0.3333 0.6667 0.2171 [4 per cell]
Os: 0.0000 0.5000 0.5000 [3 per cell]

10.
Computed X-ray powder pattern of Zr2InBiPt2 for a wavelength of 1.5418 Å, from a cell relaxed with PBE.
No peak broadening, texture or thermal motion is included.

Main lines, in order of rising 2θ (2θ from 15° to 90°):
hkl  2θ/deg  I/Imax
1 1 2  23.79  50
2 2 0  39.34  100
1 1 6  46.50  26
0 0 8  56.76  6
4 0 0  56.90  11
3 1 6  62.50  11
4 2 4  71.33  35
3 3 6  76.44  6
4 0 8  84.60  7
5 1 6  89.56  6

Cell and atoms:
Cell: 6.473 6.473 12.975 Å, 90.00 90.00 90.00°
Space group I-42d (No. 122)
Asymmetric unit:
Zr: 0.000 0.000 0.245 [8 per cell]
In: 0.000 0.000 0.000 [4 per cell]
Bi: 0.000 0.000 0.500 [4 per cell]
Pt: 0.246 0.250 0.125 [8 per cell]

11.
Computed X-ray powder pattern of InBi5W3 for a wavelength of 1.5418 Å, from a cell relaxed with PBE.
No peak broadening, texture or thermal motion is included.

Main lines, in order of rising 2θ (2θ from 15° to 90°):
hkl  2θ/deg  I/Imax
1 0 0  18.08  20
1 0 2  27.38  53
0 0 3  30.79  36
1 1 0  31.59  68
1 1 2  37.89  31
2 0 1  38.12  47
0 0 4  41.46  20
2 0 2  42.29  100
2 0 5  65.74  19
2 2 0  65.97  26

Cell and atoms:
Cell: 5.6642 5.6642 8.7122 Å, 90.00 90.00 120.00°
Space group P6/mmm (No. 191)
Asymmetric unit:
In: 0.0000 0.0000 0.0000 [1 per cell]
Bi: 0.0000 0.0000 0.5000 [1 per cell]
Bi: 0.3333 0.6667 0.2108 [4 per cell]
W: 0.0000 0.5000 0.5000 [3 per cell]

12.
Computed X-ray powder pattern of BiIr9 for a wavelength of 1.5418 Å, from a cell relaxed with PBE.
No peak broadening, texture or thermal motion is included.

Main lines, in order of rising 2θ (2θ from 15° to 90°):
hkl  2θ/deg  I/Imax
0 1 14  38.73  21
1 1 0  39.85  100
0 1 15  40.58  66
1 0 14  44.89  14
1 0 15  46.54  45
0 2 0  47.24  31
1 2 15  68.48  29
2 1 15  81.27  18
1 3 0  82.74  24
2 2 0  85.92  12

Cell and atoms:
Cell: 2.797 3.849 40.850 Å, 90.00 90.00 90.00°
Space group Pmmn (No. 59, origin choice 2)
Asymmetric unit:
Bi: 0.250 0.250 0.174 [2 per cell]
Ir: 0.250 0.250 0.250 [2 per cell]
Ir: 0.250 0.250 0.316 [2 per cell]
Ir: 0.250 0.250 0.383 [2 per cell]
Ir: 0.250 0.250 0.450 [2 per cell]
Ir: 0.250 0.250 0.517 [2 per cell]
Ir: 0.250 0.250 0.584 [2 per cell]
Ir: 0.250 0.250 0.650 [2 per cell]
Ir: 0.250 0.250 0.717 [2 per cell]
Ir: 0.250 0.250 0.784 [2 per cell]

What did the sixth record say?
Computed X-ray powder pattern of Li4InBiPd2 for a wavelength of 1.5418 Å, from a cell relaxed with PBE.
No peak broadening, texture or thermal motion is included.

Main lines, in order of rising 2θ (2θ from 15° to 90°):
hkl  2θ/deg  I/Imax
1 0 0  19.52  4
1 0 1  23.97  100
0 0 2  27.74  4
2 0 0  39.64  90
2 1 1  46.85  50
2 2 0  57.30  15
3 0 1  63.00  21
3 1 2  71.92  31
3 2 1  77.05  15
4 0 0  85.39  10

Cell and atoms:
Cell: 4.547 4.547 6.434 Å, 90.00 90.00 90.00°
Space group P-4m2 (No. 115)
Asymmetric unit:
Li: 0.000 0.000 0.000 [1 per cell]
Li: 0.000 0.500 0.241 [2 per cell]
Li: 0.500 0.500 0.500 [1 per cell]
In: 0.500 0.500 0.000 [1 per cell]
Bi: 0.000 0.000 0.500 [1 per cell]
Pd: 0.000 0.500 0.758 [2 per cell]

Question: Which formula does entry 1 have?
Answer: Si2Bi14IrI12

Question: Which formula does entry 6 have?
Answer: Li4InBiPd2